Theoretical powder diffraction line list
Compound: SrLiCd3
Radiation: λ = 1.5418 Å (Cu Kα)
Structure: DFT lattice parameters and positions (GGA-PBE)
Intensities are scaled so that the largest is 100.

Largest 10 diffraction maxima, in order of falling intensity, 2θ = 10–90°:
d_spacing, 2θ/deg, I (rel.)
2.932, 30.49, 100
2.942, 30.38, 84
2.464, 36.46, 74
2.149, 42.05, 25
1.497, 62.00, 22
4.294, 20.68, 21
5.885, 15.05, 20
1.501, 61.82, 19
1.829, 49.85, 17
1.996, 45.43, 15

Structure:
Lattice parameters (Å, degrees): 6.481 6.481 6.954 90.00 90.00 114.77
Element x y z (fractional)
Sr  0.239  0.761  0.750
Sr  0.761  0.239  0.250
Li  0.095  0.905  0.250
Li  0.905  0.095  0.750
Cd  0.267  0.267  0.000
Cd  0.267  0.267  0.500
Cd  0.340  0.660  0.250
Cd  0.660  0.340  0.750
Cd  0.733  0.733  0.000
Cd  0.733  0.733  0.500